No. 1
Simulated XRD peak list
Compound: PaHPd
Radiation: Cu Ka
Structure: a GGA-PBE-relaxed structure
Peak positions follow from Bragg's law for the DFT cell and can differ from measured ones.

Atomic structure:
```
PaHPd
1.0
3.818 0.000 0.000
-1.909 3.307 0.000
0.000 0.000 3.924
Pa H Pd
1 1 1
direct
0.000 0.000 0.000
0.333 0.667 0.005
0.667 0.333 0.501
```

The 10 most intense peaks (5 to 70 degrees two-theta), in order of rising 2θ:
2θ = 22.66°, I = 8; 2θ = 26.97°, I = 44; 2θ = 35.50°, I = 100; 2θ = 46.27°, I = 10; 2θ = 47.64°, I = 28; 2θ = 53.37°, I = 5; 2θ = 54.37°, I = 13; 2θ = 55.59°, I = 6; 2θ = 60.80°, I = 22; 2θ = 68.59°, I = 19

No. 2
Simulated XRD peak list
Compound: PaH6Pd3
Radiation: Cu Ka
Structure: a GGA-PBE-relaxed structure
Peak positions follow from Bragg's law for the DFT cell and can differ from measured ones.

Atomic structure:
```
PaH6Pd3
1.0
4.884 0.000 0.000
2.442 4.234 0.000
0.010 2.789 4.555
Pa H Pd
1 6 3
direct
0.000 0.000 0.000
0.007 0.507 0.006
0.117 0.000 0.494
0.487 0.380 0.488
0.489 0.001 0.003
0.513 0.500 0.988
0.871 0.613 0.514
0.241 0.514 0.725
0.495 0.996 0.503
0.755 0.485 0.275
```

The 10 most intense peaks (5 to 70 degrees two-theta), in order of rising 2θ:
2θ = 21.99°, I = 19; 2θ = 33.66°, I = 84; 2θ = 33.84°, I = 41; 2θ = 36.79°, I = 100; 2θ = 50.55°, I = 14; 2θ = 50.86°, I = 27; 2θ = 58.33°, I = 16; 2θ = 64.15°, I = 13; 2θ = 64.48°, I = 13; 2θ = 66.26°, I = 18

No. 3
Simulated XRD peak list
Compound: PaH6PdPt
Radiation: Cu Ka
Structure: a GGA-PBE-relaxed structure
Peak positions follow from Bragg's law for the DFT cell and can differ from measured ones.

Atomic structure:
```
PaH6PdPt
1.0
4.724 0.000 0.000
-2.362 4.091 0.000
0.000 0.000 4.226
Pa H Pd Pt
1 6 1 1
direct
0.000 0.000 0.000
0.503 0.007 0.214
0.503 0.007 0.786
0.503 0.497 0.214
0.503 0.497 0.786
0.993 0.497 0.214
0.993 0.497 0.786
0.333 0.667 0.500
0.667 0.333 0.500
```

The 10 most intense peaks (5 to 70 degrees two-theta), in order of rising 2θ:
2θ = 21.02°, I = 2; 2θ = 21.72°, I = 8; 2θ = 30.41°, I = 100; 2θ = 38.10°, I = 52; 2θ = 42.80°, I = 12; 2θ = 48.49°, I = 2; 2θ = 49.50°, I = 27; 2θ = 58.62°, I = 30; 2θ = 64.12°, I = 25; 2θ = 68.84°, I = 9

No. 4
Simulated XRD peak list
Compound: PaSbHPd
Radiation: Cu Ka
Structure: a GGA-PBE-relaxed structure
Peak positions follow from Bragg's law for the DFT cell and can differ from measured ones.

Atomic structure:
```
PaSbHPd
1.0
4.471 0.000 0.000
-2.236 3.872 0.000
0.000 0.000 4.169
Pa Sb H Pd
1 1 1 1
direct
0.000 0.000 0.000
0.333 0.667 0.539
0.667 0.333 0.970
0.667 0.333 0.387
```

The 10 most intense peaks (5 to 70 degrees two-theta), in order of rising 2θ:
2θ = 22.97°, I = 11; 2θ = 31.53°, I = 100; 2θ = 40.34°, I = 47; 2θ = 43.41°, I = 8; 2θ = 46.93°, I = 2; 2θ = 49.67°, I = 13; 2θ = 52.08°, I = 25; 2θ = 60.75°, I = 17; 2θ = 65.84°, I = 6; 2θ = 67.87°, I = 23

No. 5
Simulated XRD peak list
Compound: PmPaH
Radiation: Cu Ka
Structure: a GGA-PBE-relaxed structure
Peak positions follow from Bragg's law for the DFT cell and can differ from measured ones.

Atomic structure:
```
PmPaH
1.0
3.389 0.000 0.000
0.000 3.389 0.000
0.000 0.000 5.267
Pm Pa H
1 1 1
direct
0.000 0.000 0.000
0.500 0.500 0.500
0.000 0.000 0.500
```

The 10 most intense peaks (5 to 70 degrees two-theta), in order of rising 2θ:
2θ = 16.83°, I = 5; 2θ = 26.30°, I = 3; 2θ = 31.39°, I = 100; 2θ = 34.05°, I = 21; 2θ = 37.53°, I = 32; 2θ = 51.57°, I = 26; 2θ = 54.12°, I = 11; 2θ = 59.28°, I = 17; 2θ = 63.91°, I = 27; 2θ = 65.50°, I = 13

No. 6
Simulated XRD peak list
Compound: Pa4HPt2
Radiation: Cu Ka
Structure: a GGA-PBE-relaxed structure
Peak positions follow from Bragg's law for the DFT cell and can differ from measured ones.

Atomic structure:
```
Pa4HPt2
1.0
-2.154 2.154 7.834
2.154 -2.154 7.834
2.154 2.154 -7.834
Pa H Pt
4 1 2
direct
0.000 0.500 0.500
0.173 0.173 0.000
0.500 0.000 0.500
0.827 0.827 0.000
0.000 0.000 0.000
0.345 0.345 0.000
0.655 0.655 0.000
```

The 10 most intense peaks (5 to 70 degrees two-theta), in order of rising 2θ:
2θ = 29.32°, I = 12; 2θ = 31.51°, I = 100; 2θ = 34.34°, I = 42; 2θ = 37.40°, I = 70; 2θ = 41.94°, I = 54; 2θ = 45.74°, I = 8; 2θ = 55.28°, I = 45; 2θ = 55.80°, I = 17; 2θ = 60.81°, I = 18; 2θ = 67.19°, I = 12

No. 7
Simulated XRD peak list
Compound: PuPa2H6
Radiation: Cu Ka
Structure: a GGA-PBE-relaxed structure
Peak positions follow from Bragg's law for the DFT cell and can differ from measured ones.

Atomic structure:
```
PuPa2H6
1.0
6.212 -2.239 0.000
6.212 2.239 0.000
-1.252 0.000 3.752
Pu Pa H
1 2 6
direct
0.000 0.000 0.000
0.334 0.334 0.334
0.666 0.666 0.666
0.085 0.578 0.831
0.252 0.748 0.500
0.422 0.915 0.169
0.578 0.085 0.831
0.748 0.252 0.500
0.915 0.422 0.169
```

The 10 most intense peaks (5 to 70 degrees two-theta), in order of rising 2θ:
2θ = 30.14°, I = 100; 2θ = 30.26°, I = 99; 2θ = 32.11°, I = 83; 2θ = 40.28°, I = 23; 2θ = 45.88°, I = 17; 2θ = 46.22°, I = 16; 2θ = 52.41°, I = 45; 2θ = 55.96°, I = 37; 2θ = 56.17°, I = 36; 2θ = 67.05°, I = 27

No. 8
Simulated XRD peak list
Compound: PaH6Rh
Radiation: Cu Ka
Structure: a GGA-PBE-relaxed structure
Peak positions follow from Bragg's law for the DFT cell and can differ from measured ones.

Atomic structure:
```
PaH6Rh
1.0
-2.204 2.329 3.174
2.204 -2.329 3.174
2.204 2.329 -3.174
Pa H Rh
1 6 1
direct
0.000 0.000 0.000
0.139 0.500 0.639
0.323 0.035 0.711
0.323 0.612 0.289
0.677 0.388 0.711
0.677 0.965 0.289
0.861 0.500 0.361
0.500 0.500 0.000
```

The 10 most intense peaks (5 to 70 degrees two-theta), in order of rising 2θ:
2θ = 23.69°, I = 19; 2θ = 27.86°, I = 100; 2θ = 28.11°, I = 50; 2θ = 38.66°, I = 22; 2θ = 40.00°, I = 78; 2θ = 40.95°, I = 18; 2θ = 48.48°, I = 22; 2θ = 50.40°, I = 21; 2θ = 65.27°, I = 19; 2θ = 65.66°, I = 18

No. 9
Simulated XRD peak list
Compound: PaH6Ru3
Radiation: Cu Ka
Structure: a GGA-PBE-relaxed structure
Peak positions follow from Bragg's law for the DFT cell and can differ from measured ones.

Atomic structure:
```
PaH6Ru3
1.0
2.431 1.404 4.468
-2.431 1.404 4.468
0.000 -2.807 4.468
Pa H Ru
1 6 3
direct
0.000 0.000 0.000
0.190 0.456 0.759
0.456 0.759 0.190
0.460 0.976 0.473
0.473 0.460 0.976
0.759 0.190 0.456
0.976 0.473 0.460
0.209 0.209 0.209
0.559 0.559 0.559
0.817 0.817 0.817
```

The 10 most intense peaks (5 to 70 degrees two-theta), in order of rising 2θ:
2θ = 22.13°, I = 50; 2θ = 24.98°, I = 21; 2θ = 34.20°, I = 39; 2θ = 36.98°, I = 100; 2θ = 39.87°, I = 56; 2θ = 51.25°, I = 13; 2θ = 55.50°, I = 22; 2θ = 55.90°, I = 17; 2θ = 66.63°, I = 18; 2θ = 68.58°, I = 23

No. 10
Simulated XRD peak list
Compound: PaH2Ru
Radiation: Cu Ka
Structure: a GGA-PBE-relaxed structure
Peak positions follow from Bragg's law for the DFT cell and can differ from measured ones.

Atomic structure:
```
PaH2Ru
1.0
1.577 0.910 5.638
-1.577 0.910 5.638
0.000 -1.821 5.638
Pa H Ru
1 2 1
direct
0.000 0.000 0.000
0.402 0.402 0.402
0.598 0.598 0.598
0.500 0.500 0.500
```

The 10 most intense peaks (5 to 70 degrees two-theta), in order of rising 2θ:
2θ = 15.72°, I = 29; 2θ = 31.74°, I = 41; 2θ = 33.23°, I = 14; 2θ = 34.51°, I = 100; 2θ = 39.27°, I = 69; 2θ = 54.92°, I = 27; 2θ = 58.54°, I = 22; 2θ = 64.84°, I = 16; 2θ = 68.14°, I = 28; 2θ = 69.76°, I = 13

No. 11
Simulated XRD peak list
Compound: PaH7Ru2
Radiation: Cu Ka
Structure: a GGA-PBE-relaxed structure
Peak positions follow from Bragg's law for the DFT cell and can differ from measured ones.

Atomic structure:
```
PaH7Ru2
1.0
2.612 -4.490 0.000
2.612 4.490 0.000
0.000 0.000 3.467
Pa H Ru
1 7 2
direct
0.000 0.000 0.000
0.036 0.314 0.500
0.292 0.708 0.000
0.314 0.036 0.500
0.500 0.500 0.500
0.686 0.964 0.500
0.708 0.292 0.000
0.964 0.686 0.500
0.315 0.685 0.500
0.685 0.315 0.500
```

The 10 most intense peaks (5 to 70 degrees two-theta), in order of rising 2θ:
2θ = 19.66°, I = 21; 2θ = 32.59°, I = 100; 2θ = 34.33°, I = 26; 2θ = 34.53°, I = 47; 2θ = 48.09°, I = 28; 2θ = 60.37°, I = 10; 2θ = 60.72°, I = 18; 2θ = 61.62°, I = 9; 2θ = 64.51°, I = 8; 2θ = 64.64°, I = 15

No. 12
Simulated XRD peak list
Compound: PaH2S3
Radiation: Cu Ka
Structure: a GGA-PBE-relaxed structure
Peak positions follow from Bragg's law for the DFT cell and can differ from measured ones.

Atomic structure:
```
PaH2S3
1.0
3.708 0.000 0.000
0.000 10.125 0.000
0.000 0.000 6.557
Pa H S
2 4 6
direct
0.000 0.127 0.000
0.000 0.873 0.500
0.000 0.183 0.554
0.000 0.817 0.054
0.500 0.316 0.302
0.500 0.684 0.802
0.000 0.289 0.681
0.000 0.711 0.181
0.500 0.017 0.279
0.500 0.328 0.095
0.500 0.672 0.595
0.500 0.983 0.779
```

The 10 most intense peaks (5 to 70 degrees two-theta), in order of rising 2θ:
2θ = 8.73°, I = 100; 2θ = 16.10°, I = 56; 2θ = 22.18°, I = 39; 2θ = 24.00°, I = 14; 2θ = 29.03°, I = 17; 2θ = 32.91°, I = 46; 2θ = 37.69°, I = 19; 2θ = 45.23°, I = 18; 2θ = 49.19°, I = 15; 2θ = 51.84°, I = 17

No. 13
Simulated XRD peak list
Compound: PaSb2H
Radiation: Cu Ka
Structure: a GGA-PBE-relaxed structure
Peak positions follow from Bragg's law for the DFT cell and can differ from measured ones.

Atomic structure:
```
PaSb2H
1.0
0.000 6.588 3.575
1.914 0.000 3.575
1.914 6.588 0.000
Pa Sb H
1 2 1
direct
0.000 0.000 0.000
0.151 0.476 0.524
0.476 0.151 0.849
0.671 0.671 0.329
```

The 10 most intense peaks (5 to 70 degrees two-theta), in order of rising 2θ:
2θ = 13.44°, I = 19; 2θ = 27.28°, I = 49; 2θ = 28.40°, I = 49; 2θ = 33.49°, I = 100; 2θ = 37.11°, I = 29; 2θ = 41.11°, I = 20; 2θ = 43.58°, I = 14; 2θ = 45.35°, I = 35; 2θ = 56.28°, I = 15; 2θ = 57.42°, I = 14

No. 14
Simulated XRD peak list
Compound: Pa3Sb2H2
Radiation: Cu Ka
Structure: a GGA-PBE-relaxed structure
Peak positions follow from Bragg's law for the DFT cell and can differ from measured ones.

Atomic structure:
```
Pa3Sb2H2
1.0
1.961 -10.222 0.000
1.961 10.222 0.000
0.000 0.000 7.067
Pa Sb H
6 4 4
direct
0.086 0.914 0.563
0.086 0.914 0.937
0.311 0.689 0.750
0.689 0.311 0.250
0.914 0.086 0.063
0.914 0.086 0.437
0.311 0.689 0.250
0.472 0.528 0.750
0.528 0.472 0.250
0.689 0.311 0.750
0.176 0.824 0.108
0.176 0.824 0.392
0.824 0.176 0.608
0.824 0.176 0.892
```

The 10 most intense peaks (5 to 70 degrees two-theta), in order of rising 2θ:
2θ = 26.36°, I = 20; 2θ = 26.69°, I = 19; 2θ = 29.13°, I = 22; 2θ = 31.61°, I = 100; 2θ = 34.45°, I = 66; 2θ = 36.65°, I = 49; 2θ = 39.25°, I = 20; 2θ = 46.31°, I = 23; 2θ = 46.93°, I = 18; 2θ = 60.45°, I = 18